The following is a theoretical powder diffraction line list of Cu2Ni5Pt4. It was derived from a GGA-PBE-relaxed structure, using Cu Ka.
Peak positions follow from Bragg's law for the DFT cell and can differ from measured ones.

Top 10 peaks for 10 to 90 degrees two-theta, by angle:
- 20.30°, I = 95
- 27.65°, I = 100
- 34.35°, I = 74
- 37.88°, I = 93
- 39.28°, I = 69
- 40.40°, I = 90
- 41.27°, I = 66
- 48.31°, I = 97
- 52.60°, I = 73
- 68.96°, I = 42

Structure:
```
data_Cu2Ni5Pt4
_space_group_name_H-M_alt 'P 1'
_space_group_IT_number 1
_cell_length_a 9.5045
_cell_length_b 9.5045
_cell_length_c 9.5045
_cell_angle_alpha 164.03
_cell_angle_beta 137.17
_cell_angle_gamma 45.99
loop_
_space_group_symop_operation_xyz
'x,y,z'
loop_
_atom_site_label
_atom_site_fract_x
_atom_site_fract_y
_atom_site_fract_z
Cu1 0.1090 0.1090 0.0000
Cu2 0.8910 0.8910 0.0000
Ni1 0.0000 0.5000 0.5000
Ni2 0.1723 0.8497 0.3226
Ni3 0.4729 0.1503 0.3226
Ni4 0.5271 0.8497 0.6774
Ni5 0.8277 0.1503 0.6774
Pt1 0.2481 0.2481 0.0000
Pt2 0.3111 0.0000 0.3111
Pt3 0.6889 0.0000 0.6889
Pt4 0.7519 0.7519 0.0000
```

---

The following is a theoretical powder diffraction line list of YNbTlPb2. It was derived from a GGA-PBE-relaxed structure, using Cu Ka.
Peak positions follow from Bragg's law for the DFT cell and can differ from measured ones.

Top 10 peaks for 10 to 90 degrees two-theta, by angle:
- 15.55°, I = 35
- 16.41°, I = 63
- 22.68°, I = 27
- 27.62°, I = 69
- 31.39°, I = 100
- 33.18°, I = 43
- 35.62°, I = 41
- 44.98°, I = 38
- 46.32°, I = 69
- 57.02°, I = 37

Structure:
```
data_YNbTlPb2
_space_group_name_H-M_alt 'P 1'
_space_group_IT_number 1
_cell_length_a 5.6997
_cell_length_b 5.6997
_cell_length_c 5.4006
_cell_angle_alpha 90.00
_cell_angle_beta 90.00
_cell_angle_gamma 90.00
loop_
_space_group_symop_operation_xyz
'x,y,z'
loop_
_atom_site_label
_atom_site_fract_x
_atom_site_fract_y
_atom_site_fract_z
Y1 0.0000 0.0000 0.0000
Nb1 0.5000 0.5000 0.0000
Tl1 0.5000 0.5000 0.5000
Pb1 0.0000 0.5000 0.5000
Pb2 0.5000 0.0000 0.5000
```

---

The following is a theoretical powder diffraction line list of Y2Tm. It was derived from a GGA-PBE-relaxed structure, using Cu Ka.
Peak positions follow from Bragg's law for the DFT cell and can differ from measured ones.

Top 10 peaks for 10 to 90 degrees two-theta, by angle:
- 10.37°, I = 32
- 29.02°, I = 37
- 29.66°, I = 34
- 31.47°, I = 51
- 32.09°, I = 100
- 33.81°, I = 90
- 51.04°, I = 39
- 55.29°, I = 20
- 58.64°, I = 19
- 61.20°, I = 44

Structure:
```
data_Y2Tm
_space_group_name_H-M_alt 'P 1'
_space_group_IT_number 1
_cell_length_a 8.7753
_cell_length_b 8.7753
_cell_length_c 8.7753
_cell_angle_alpha 23.53
_cell_angle_beta 23.53
_cell_angle_gamma 23.53
loop_
_space_group_symop_operation_xyz
'x,y,z'
loop_
_atom_site_label
_atom_site_fract_x
_atom_site_fract_y
_atom_site_fract_z
Y1 0.0000 0.0000 0.0000
Y2 0.2201 0.2201 0.2201
Tm1 0.7771 0.7771 0.7771
```

---

The following is a theoretical powder diffraction line list of PmB14Mo. It was derived from a GGA-PBE-relaxed structure, using Cu Ka.
Peak positions follow from Bragg's law for the DFT cell and can differ from measured ones.

Top 10 peaks for 10 to 90 degrees two-theta, by angle:
- 16.13°, I = 100
- 18.53°, I = 22
- 24.67°, I = 45
- 27.64°, I = 51
- 33.37°, I = 68
- 33.61°, I = 33
- 36.19°, I = 38
- 40.85°, I = 54
- 41.08°, I = 42
- 57.08°, I = 22

Structure:
```
data_PmB14Mo
_space_group_name_H-M_alt 'P 1'
_space_group_IT_number 1
_cell_length_a 7.4715
_cell_length_b 7.4715
_cell_length_c 7.4715
_cell_angle_alpha 133.65
_cell_angle_beta 85.34
_cell_angle_gamma 113.01
loop_
_space_group_symop_operation_xyz
'x,y,z'
loop_
_atom_site_label
_atom_site_fract_x
_atom_site_fract_y
_atom_site_fract_z
Pm1 0.3757 0.1257 0.2500
Pm2 0.6243 0.8743 0.7500
B1 0.0116 0.1299 0.8817
B2 0.0278 0.2047 0.3304
B3 0.0278 0.6974 0.8231
B4 0.0893 0.6700 0.4193
B5 0.1978 0.5304 0.6674
B6 0.2247 0.5009 0.4031
B7 0.2247 0.8215 0.7238
B8 0.2493 0.3300 0.9193
B9 0.2518 0.8701 0.3817
B10 0.3630 0.5304 0.8326
B11 0.3743 0.2047 0.6769
B12 0.3743 0.6974 0.1696
B13 0.4022 0.1785 0.9031
B14 0.4022 0.4991 0.2238
B15 0.5978 0.5009 0.7762
B16 0.5978 0.8215 0.0969
B17 0.6257 0.3026 0.8304
B18 0.6257 0.7953 0.3231
B19 0.6370 0.4696 0.1674
B20 0.7482 0.1299 0.6183
B21 0.7507 0.6700 0.0807
B22 0.7753 0.1785 0.2762
B23 0.7753 0.4991 0.5969
B24 0.8022 0.4696 0.3326
B25 0.9107 0.3300 0.5807
B26 0.9722 0.3026 0.1769
B27 0.9722 0.7953 0.6696
B28 0.9884 0.8701 0.1183
Mo1 0.0000 0.0000 0.5000
Mo2 0.0000 0.5000 0.0000
```

---

The following is a theoretical powder diffraction line list of ZnSbPH. It was derived from a GGA-PBE-relaxed structure, using Cu Ka.
Peak positions follow from Bragg's law for the DFT cell and can differ from measured ones.

Top 10 peaks for 10 to 90 degrees two-theta, by angle:
- 17.65°, I = 75
- 22.61°, I = 100
- 27.10°, I = 40
- 27.74°, I = 37
- 34.00°, I = 64
- 34.86°, I = 61
- 35.52°, I = 58
- 42.28°, I = 29
- 46.15°, I = 41
- 50.14°, I = 35

Structure:
```
data_ZnSbPH
_space_group_name_H-M_alt 'P 1'
_space_group_IT_number 1
_cell_length_a 3.5735
_cell_length_b 4.5846
_cell_length_c 5.4568
_cell_angle_alpha 111.15
_cell_angle_beta 90.37
_cell_angle_gamma 111.19
loop_
_space_group_symop_operation_xyz
'x,y,z'
loop_
_atom_site_label
_atom_site_fract_x
_atom_site_fract_y
_atom_site_fract_z
Zn1 0.0000 0.0000 0.0000
Sb1 0.2064 0.4252 0.7470
P1 0.5692 0.1260 0.3558
H1 0.4209 0.8089 0.3881
```

---

The following is a theoretical powder diffraction line list of Tl2AsAu4. It was derived from a GGA-PBE-relaxed structure, using Cu Ka.
Peak positions follow from Bragg's law for the DFT cell and can differ from measured ones.

Top 10 peaks for 10 to 90 degrees two-theta, by angle:
- 27.25°, I = 36
- 31.53°, I = 55
- 32.12°, I = 100
- 34.81°, I = 37
- 34.96°, I = 74
- 35.39°, I = 48
- 40.23°, I = 41
- 40.93°, I = 37
- 41.77°, I = 47
- 56.22°, I = 29

Structure:
```
data_Tl2AsAu4
_space_group_name_H-M_alt 'P 1'
_space_group_IT_number 1
_cell_length_a 5.9718
_cell_length_b 6.5442
_cell_length_c 8.8003
_cell_angle_alpha 90.00
_cell_angle_beta 108.11
_cell_angle_gamma 90.00
loop_
_space_group_symop_operation_xyz
'x,y,z'
loop_
_atom_site_label
_atom_site_fract_x
_atom_site_fract_y
_atom_site_fract_z
Tl1 0.1430 0.2500 0.3771
Tl2 0.2598 0.7500 0.0216
Tl3 0.7402 0.2500 0.9784
Tl4 0.8570 0.7500 0.6229
As1 0.1336 0.2500 0.7685
As2 0.8664 0.7500 0.2315
Au1 0.2825 0.2500 0.0739
Au2 0.3103 0.7500 0.3876
Au3 0.3571 0.5354 0.6829
Au4 0.3571 0.9646 0.6829
Au5 0.6429 0.0354 0.3171
Au6 0.6429 0.4646 0.3171
Au7 0.6897 0.2500 0.6124
Au8 0.7175 0.7500 0.9261
```